Structure and computed X-ray diffraction stick pattern of K2MnGeF6 (the GGA+U geometry in Alexandria; CuKα).
Intensities are scaled so that the largest is 100.

Crystal structure
```
data_K2MnGeF6
_symmetry_space_group_name_H-M 'P -1'
_symmetry_Int_Tables_number 2
_symmetry_space_group_name_Hall '-P 1'
_cell_length_a 6.092
_cell_length_b 6.092
_cell_length_c 6.093
_cell_angle_alpha 60.72
_cell_angle_beta 60.70
_cell_angle_gamma 60.73
loop_
_atom_site_label
_atom_site_fract_x
_atom_site_fract_y
_atom_site_fract_z
K1 0.249 0.249 0.249
Mn1 0.000 0.000 0.000
Ge1 0.500 0.500 0.500
F1 0.187 0.301 0.759
F2 0.244 0.813 0.699
F3 0.300 0.759 0.188
```

Main lines, most intense first (2θ from 5° to 70°):
| Position (°2θ) | d (Å) | Rel. int. |
| --- | --- | --- |
| 41.71 | 2.165 | 100 |
| 29.32 | 3.046 | 91 |
| 29.00 | 3.079 | 84 |
| 20.51 | 4.331 | 50 |
| 51.60 | 1.771 | 38 |
| 60.82 | 1.523 | 28 |
| 51.40 | 1.778 | 25 |
| 60.10 | 1.540 | 24 |
| 52.20 | 1.752 | 17 |
| 68.77 | 1.365 | 15 |
| 47.13 | 1.928 | 13 |
| 68.26 | 1.374 | 13 |